Structure and computed powder diffractogram of Pm2Y7Sc2 (a cell relaxed with GGA-PBE; Cu Ka).
No peak broadening, texture or thermal motion is included.

Largest 8 diffraction maxima, sorted by position, 2θ = 10–90°:
2θ 15.23, I = 21.2
2θ 26.15, I = 18.1
2θ 26.40, I = 20.0
2θ 29.42, I = 20.5
2θ 30.74, I = 35.3
2θ 31.82, I = 60.5
2θ 32.65, I = 100.0
2θ 34.36, I = 89.3

a = 3.565 Å, b = 9.913 Å, c = 10.992 Å
α = 67.91°, β = 80.68°, γ = 79.72°
Fractional coordinates of all 11 atoms:
Pm1 0.005 0.287 0.206
Pm2 0.995 0.713 0.794
Y1 0.156 0.323 0.869
Y2 0.329 0.965 0.876
Y3 0.336 0.425 0.403
Y4 0.500 0.000 0.500
Y5 0.664 0.575 0.597
Y6 0.671 0.035 0.124
Y7 0.844 0.677 0.131
Sc1 0.181 0.787 0.349
Sc2 0.819 0.213 0.651